(1)
LaSiI: theoretical powder diffractogram (Cu Kα, 1.54184 Å), based on the PBE geometry in the Materials Project.
Peak positions follow from Bragg's law for the DFT cell and can differ from measured ones.

The 6 most intense peaks (2θ from 10° to 90°), in order of falling intensity:
2θ/deg, I (rel.), index
33.0, 100, 0 1 3
25.5, 66, 1 0 1
28.5, 52, 1 0 2
42.9, 45, 1 1 0
63.7, 28, 1 1 6
44.7, 27, 0 0 6

Atomic structure:
```
LaSiI
1.0
4.2161 0.0000 0.0000
-2.1081 3.6513 0.0000
0.0000 0.0000 12.1648
La Si I
2 2 2
Direct
0.0000 0.0000 0.1705
0.0000 0.0000 0.8295
0.3333 0.6667 0.0067
0.6667 0.3333 0.9933
0.3333 0.6667 0.6493
0.6667 0.3333 0.3507
```

(2)
Mg2Co12P7: theoretical powder diffractogram (Cu Kα, 1.54184 Å), based on the PBE geometry in the Materials Project.
Peak positions follow from Bragg's law for the DFT cell and can differ from measured ones.

The 6 most intense peaks (2θ from 10° to 90°), in order of falling intensity:
2θ/deg, I (rel.), index
40.3, 100, 1 2 1
54.1, 31, 4 1 0
49.8, 25, 3 1 1
19.8, 21, 1 1 0
52.8, 19, 0 0 2
51.3, 18, 2 3 0

Atomic structure:
```
Mg2Co12P7
1.0
8.9681 0.0000 0.0000
-4.4841 7.7666 0.0000
0.0000 0.0000 3.4678
Mg Co P
2 12 7
Direct
0.0000 0.0000 0.0000
0.3333 0.6667 0.5000
0.0486 0.7755 0.5000
0.1098 0.3997 0.0000
0.2245 0.2731 0.5000
0.2899 0.8902 0.0000
0.3922 0.2120 0.0000
0.5328 0.0940 0.5000
0.5612 0.4672 0.5000
0.6003 0.7101 0.0000
0.7269 0.9514 0.5000
0.7880 0.1803 0.0000
0.8197 0.6078 0.0000
0.9060 0.4388 0.5000
0.0726 0.6237 0.0000
0.2612 0.0410 0.5000
0.3763 0.4489 0.0000
0.5511 0.9274 0.0000
0.6667 0.3333 0.0000
0.7798 0.7388 0.5000
0.9590 0.2202 0.5000
```

(3)
CsSr2I5: theoretical powder diffractogram (Cu Kα, 1.54184 Å), based on the PBE geometry in the Materials Project.
Peak positions follow from Bragg's law for the DFT cell and can differ from measured ones.

The 6 most intense peaks (2θ from 10° to 90°), in order of falling intensity:
2θ/deg, I (rel.), index
26.4, 100, 2 2 -1
28.5, 91, 2 2 -2
26.0, 53, 0 1 4
29.4, 43, 0 3 1
34.7, 37, 4 0 0
23.1, 31, 2 1 2

Atomic structure:
```
CsSr2I5
1.0
10.3494 0.0000 0.0000
0.0000 9.3270 0.0000
-0.0922 0.0000 14.7279
Cs Sr I
4 8 20
Direct
0.0014 0.0377 0.3281
0.0014 0.4623 0.8281
0.9986 0.5377 0.1719
0.9986 0.9623 0.6719
0.2563 0.5731 0.4934
0.2563 0.9269 0.9934
0.4968 0.5218 0.1810
0.4968 0.9782 0.6810
0.5032 0.0218 0.3190
0.5032 0.4782 0.8190
0.7437 0.0731 0.0066
0.7437 0.4269 0.5066
0.0371 0.1645 0.0800
0.0371 0.3355 0.5800
0.2826 0.6931 0.7133
0.2826 0.8069 0.2133
0.2891 0.1631 0.8185
0.2891 0.3369 0.3185
0.2928 0.5475 0.9955
0.2928 0.9525 0.4955
0.4573 0.1594 0.1002
0.4573 0.3406 0.6002
0.5427 0.6594 0.3998
0.5427 0.8406 0.8998
0.7072 0.0475 0.5045
0.7072 0.4525 0.0045
0.7109 0.6631 0.6815
0.7109 0.8369 0.1815
0.7174 0.1931 0.7867
0.7174 0.3069 0.2867
0.9629 0.6645 0.4200
0.9629 0.8355 0.9200
```